Theoretical PXRD pattern
Compound: SrLa3Cu4O10
Radiation: Cu Kα, 1.54184 Å
Structure: DFT lattice parameters and positions (PBE)
No peak broadening, texture or thermal motion is included.

Main lines, by angle (10° ≤ 2θ ≤ 80°):
- 2θ = 32.64°, I = 21.8, (2 0 0)
- 2θ = 32.82°, I = 100.0, (1 1 2)
- 2θ = 33.74°, I = 37.4, (0 0 4)
- 2θ = 37.61°, I = 8.8, (1 0 -4)
- 2θ = 38.02°, I = 9.4, (1 1 3)
- 2θ = 41.10°, I = 14.5, (0 1 4)
- 2θ = 46.54°, I = 19.0, (0 2 0)
- 2θ = 47.58°, I = 8.7, (2 0 -4)
- 2θ = 47.71°, I = 10.2, (2 0 4)
- 2θ = 56.21°, I = 9.0, (3 1 -1)
- 2θ = 58.70°, I = 14.9, (0 2 4)
- 2θ = 59.76°, I = 14.6, (1 1 6)

Cell and atoms:
Lattice parameters (Å, degrees): 5.4874 3.9031 10.6279 90.00 90.15 90.00
Sites, in units of the cell vectors:
Sr 0.0000 0.0000 0.0000
La 0.1093 0.0000 0.4996
La 0.4920 0.0000 0.7820
La 0.6087 0.0000 0.2725
Cu 0.0130 0.5000 0.7460
Cu 0.0921 0.5000 0.2445
Cu 0.5140 0.5000 0.0296
Cu 0.5930 0.5000 0.5326
O 0.0156 0.0000 0.7364
O 0.0907 0.0000 0.2501
O 0.2547 0.5000 0.9119
O 0.2996 0.5000 0.6362
O 0.3675 0.5000 0.3533
O 0.5120 0.0000 0.0367
O 0.5874 0.0000 0.5350
O 0.7343 0.5000 0.8488
O 0.7876 0.5000 0.1479
O 0.8687 0.5000 0.4264